Calculated PXRD pattern
Compound: BaTlP3O9
Radiation: Cu Kα
Structure: the GGA-PBE geometry in Alexandria
Neutral-atom scattering factors, no anomalous dispersion.

Peak list (12 most intense, 2θ from 5° to 70°, in order of rising 2θ)
2θ 10.27, intensity 42, hkl 0 1 1
2θ 15.53, intensity 100, hkl 0 2 0
2θ 20.96, intensity 53, hkl 1 1 2
2θ 21.99, intensity 88, hkl 1 2 1
2θ 24.75, intensity 33, hkl 1 0 3
2θ 24.98, intensity 54, hkl 1 2 2
2θ 25.96, intensity 50, hkl 1 1 3
2θ 27.25, intensity 73, hkl 0 0 4
2θ 28.13, intensity 74, hkl 1 3 1
2θ 28.94, intensity 55, hkl 2 0 1
2θ 30.56, intensity 64, hkl 1 3 2
2θ 41.82, intensity 34, hkl 0 5 2

Structural model:
Lattice parameters (Å, degrees): 6.349 11.439 13.099 90.00 90.00 90.00
Space group P2_12_12_1 (No. 19)
Symmetry-distinct sites (fractional):
Ba (0.089, 0.103, 0.423) x4
Tl (0.098, 0.479, 0.368) x4
P (0.080, 0.225, 0.680) x4
P (0.088, 0.597, 0.638) x4
P (0.116, 0.854, 0.655) x4
O (0.042, 0.945, 0.582) x4
O (0.046, 0.116, 0.757) x4
O (0.052, 0.029, 0.932) x4
O (0.072, 0.334, 0.760) x4
O (0.099, 0.730, 0.896) x4
O (0.109, 0.729, 0.595) x4
O (0.181, 0.132, 0.212) x4
O (0.196, 0.451, 0.161) x4
O (0.202, 0.780, 0.135) x4

---

Calculated PXRD pattern
Compound: BaTl3P2O8
Radiation: Cu Kα
Structure: the GGA-PBE geometry in Alexandria
Neutral-atom scattering factors, no anomalous dispersion.

Peak list (12 most intense, 2θ from 5° to 70°, in order of rising 2θ)
2θ 20.71, intensity 46, hkl 1 0 1
2θ 28.61, intensity 100, hkl 0 1 2
2θ 30.27, intensity 91, hkl 1 1 0
2θ 36.97, intensity 24, hkl 0 2 1
2θ 42.14, intensity 41, hkl 2 0 2
2θ 46.28, intensity 13, hkl 1 1 3
2θ 48.50, intensity 14, hkl 2 1 1
2θ 49.61, intensity 17, hkl 1 0 4
2θ 52.76, intensity 33, hkl 1 2 2
2θ 53.78, intensity 18, hkl 3 0 0
2θ 62.97, intensity 14, hkl 2 2 0
2θ 67.96, intensity 14, hkl 2 1 4

Structural model:
Lattice parameters (Å, degrees): 5.9045 5.9045 7.8760 90.00 90.00 120.00
Space group P-3m1 (No. 164)
Symmetry-distinct sites (fractional):
Ba (0.0000, 0.0000, 0.0000) x1
Tl (0.0000, 0.0000, 0.5000) x1
Tl (0.3333, 0.6667, 0.1967) x2
P (0.3333, 0.6667, 0.6838) x2
O (0.1893, 0.3787, 0.7552) x6
O (0.3333, 0.6667, 0.4912) x2